No. 1
Starting from a structure optimized by DFT (PBE), the PXRD pattern of CuOsC3 was calculated for Cu Kα (weighted mean of Kα1 and Kα2).

Principal peaks in the range 2θ = 10–90°, in order of rising 2θ:
2θ = 22.34°, d 3.979, intensity 33; 2θ = 31.81°, d 2.813, intensity 100; 2θ = 39.22°, d 2.297, intensity 5; 2θ = 45.60°, d 1.989, intensity 25; 2θ = 51.35°, d 1.779, intensity 14; 2θ = 56.67°, d 1.624, intensity 39; 2θ = 66.47°, d 1.407, intensity 15; 2θ = 71.08°, d 1.326, intensity 7; 2θ = 75.57°, d 1.258, intensity 17; 2θ = 84.32°, d 1.149, intensity 5

Cell and atoms:
Cell: 3.979 3.979 3.979 Å, 90.00 90.00 90.00°
Positions (direct):
Cu1 0.000 0.000 0.000
Os1 0.500 0.500 0.500
C1 0.000 0.500 0.500
C2 0.500 0.000 0.500
C3 0.500 0.500 0.000



No. 2
Starting from a structure optimized by DFT (PBE), the PXRD pattern of CuOsRuC was calculated for Cu Kα (weighted mean of Kα1 and Kα2).

Principal peaks in the range 2θ = 10–90°, in order of rising 2θ:
2θ = 14.43°, d 6.139, intensity 36; 2θ = 32.12°, d 2.787, intensity 32; 2θ = 35.37°, d 2.538, intensity 35; 2θ = 39.47°, d 2.283, intensity 100; 2θ = 43.88°, d 2.063, intensity 60; 2θ = 44.26°, d 2.046, intensity 30; 2θ = 47.00°, d 1.933, intensity 62; 2θ = 51.76°, d 1.766, intensity 37; 2θ = 72.33°, d 1.306, intensity 30; 2θ = 80.81°, d 1.189, intensity 24

Cell and atoms:
Cell: 2.787 2.751 12.279 Å, 90.00 90.00 90.00°
Positions (direct):
Cu1 0.000 0.000 0.000
Cu2 0.000 0.500 0.500
Os1 0.500 0.000 0.354
Os2 0.500 0.500 0.854
Ru1 0.500 0.000 0.658
Ru2 0.500 0.500 0.158
C1 0.000 0.000 0.228
C2 0.000 0.500 0.728



No. 3
Starting from a structure optimized by DFT (PBE), the PXRD pattern of Pa2CuSiC was calculated for Cu Kα (weighted mean of Kα1 and Kα2).

Principal peaks in the range 2θ = 10–90°, in order of rising 2θ:
2θ = 27.35°, d 3.261, intensity 100; 2θ = 28.79°, d 3.100, intensity 24; 2θ = 31.63°, d 2.829, intensity 22; 2θ = 31.75°, d 2.819, intensity 37; 2θ = 32.53°, d 2.752, intensity 57; 2θ = 34.01°, d 2.636, intensity 42; 2θ = 34.26°, d 2.617, intensity 83; 2θ = 37.30°, d 2.411, intensity 36; 2θ = 47.41°, d 1.918, intensity 30; 2θ = 58.68°, d 1.573, intensity 22

Cell and atoms:
Cell: 6.439 3.835 7.538 Å, 90.00 105.64 90.00°
Positions (direct):
Pa1 0.159 0.250 0.389
Pa2 0.226 0.250 0.971
Pa3 0.774 0.750 0.029
Pa4 0.841 0.750 0.611
Cu1 0.458 0.750 0.278
Cu2 0.542 0.250 0.722
Si1 0.326 0.750 0.700
Si2 0.674 0.250 0.300
C1 0.143 0.750 0.169
C2 0.857 0.250 0.831



No. 4
Starting from a structure optimized by DFT (PBE), the PXRD pattern of CuRhCS was calculated for Cu Kα (weighted mean of Kα1 and Kα2).

Principal peaks in the range 2θ = 10–90°, in order of rising 2θ:
2θ = 17.99°, d 4.932, intensity 28; 2θ = 30.99°, d 2.886, intensity 57; 2θ = 31.54°, d 2.837, intensity 100; 2θ = 32.79°, d 2.731, intensity 34; 2θ = 36.96°, d 2.432, intensity 38; 2θ = 42.11°, d 2.146, intensity 27; 2θ = 45.11°, d 2.010, intensity 27; 2θ = 51.67°, d 1.769, intensity 27; 2θ = 52.79°, d 1.734, intensity 18; 2θ = 53.75°, d 1.706, intensity 15

Cell and atoms:
Cell: 3.417 3.468 4.940 Å, 90.00 93.36 90.00°
Positions (direct):
Cu1 0.000 0.000 0.000
Rh1 0.561 0.500 0.640
C1 0.072 0.500 0.826
S1 0.520 0.000 0.326



No. 5
Starting from a structure optimized by DFT (PBE), the PXRD pattern of ScCuRu2C was calculated for Cu Kα (weighted mean of Kα1 and Kα2).

Principal peaks in the range 2θ = 10–90°, in order of rising 2θ:
2θ = 22.75°, d 3.909, intensity 11; 2θ = 30.73°, d 2.909, intensity 6; 2θ = 38.57°, d 2.334, intensity 100; 2θ = 44.02°, d 2.057, intensity 38; 2θ = 46.46°, d 1.955, intensity 16; 2θ = 64.01°, d 1.455, intensity 12; 2θ = 65.92°, d 1.417, intensity 22; 2θ = 77.29°, d 1.235, intensity 24; 2θ = 80.81°, d 1.189, intensity 11; 2θ = 82.69°, d 1.167, intensity 11

Cell and atoms:
Cell: 4.114 4.114 3.909 Å, 90.00 90.00 90.00°
Positions (direct):
Sc1 0.000 0.000 0.000
Cu1 0.500 0.500 0.000
Ru1 0.000 0.500 0.500
Ru2 0.500 0.000 0.500
C1 0.500 0.500 0.500



No. 6
Starting from a structure optimized by DFT (PBE), the PXRD pattern of CuSiC3 was calculated for Cu Kα (weighted mean of Kα1 and Kα2).

Principal peaks in the range 2θ = 10–90°, in order of rising 2θ:
2θ = 17.95°, d 4.943, intensity 100; 2θ = 24.42°, d 3.646, intensity 44; 2θ = 26.15°, d 3.407, intensity 14; 2θ = 35.82°, d 2.507, intensity 32; 2θ = 36.35°, d 2.471, intensity 25; 2θ = 40.16°, d 2.245, intensity 14; 2θ = 40.37°, d 2.234, intensity 28; 2θ = 41.46°, d 2.178, intensity 13; 2θ = 43.79°, d 2.067, intensity 12; 2θ = 43.95°, d 2.060, intensity 13

Cell and atoms:
Cell: 2.503 4.954 5.027 Å, 93.87 90.34 90.01°
Positions (direct):
Cu1 0.000 0.000 0.000
Si1 0.508 0.076 0.405
C1 0.010 0.585 0.556
C2 0.011 0.877 0.618
C3 0.510 0.444 0.526



No. 7
Starting from a structure optimized by DFT (PBE), the PXRD pattern of Ta3Cu3C was calculated for Cu Kα (weighted mean of Kα1 and Kα2).

Principal peaks in the range 2θ = 10–90°, in order of rising 2θ:
2θ = 13.27°, d 6.673, intensity 16; 2θ = 30.95°, d 2.890, intensity 12; 2θ = 33.80°, d 2.652, intensity 29; 2θ = 38.14°, d 2.359, intensity 55; 2θ = 40.55°, d 2.224, intensity 100; 2θ = 44.33°, d 2.043, intensity 15; 2θ = 56.89°, d 1.619, intensity 12; 2θ = 68.94°, d 1.362, intensity 48; 2θ = 70.57°, d 1.335, intensity 11; 2θ = 83.15°, d 1.162, intensity 20

Cell and atoms:
Cell: 8.173 8.173 8.173 Å, 60.00 60.00 60.00°
Positions (direct):
Ta1 0.058 0.058 0.692
Ta2 0.058 0.692 0.058
Ta3 0.058 0.692 0.692
Ta4 0.308 0.308 0.942
Ta5 0.308 0.942 0.308
Ta6 0.308 0.942 0.942
Ta7 0.692 0.058 0.058
Ta8 0.692 0.058 0.692
Ta9 0.692 0.692 0.058
Ta10 0.942 0.308 0.308
Ta11 0.942 0.308 0.942
Ta12 0.942 0.942 0.308
Cu1 0.000 0.500 0.500
Cu2 0.293 0.293 0.293
Cu3 0.293 0.293 0.621
Cu4 0.293 0.621 0.293
Cu5 0.379 0.707 0.707
Cu6 0.500 0.000 0.500
Cu7 0.500 0.500 0.000
Cu8 0.500 0.500 0.500
Cu9 0.621 0.293 0.293
Cu10 0.707 0.379 0.707
Cu11 0.707 0.707 0.379
Cu12 0.707 0.707 0.707
C1 0.000 0.000 0.000
C2 0.000 0.000 0.500
C3 0.000 0.500 0.000
C4 0.500 0.000 0.000



No. 8
Starting from a structure optimized by DFT (PBE), the PXRD pattern of TaCu2C was calculated for Cu Kα (weighted mean of Kα1 and Kα2).

Principal peaks in the range 2θ = 10–90°, in order of rising 2θ:
2θ = 24.14°, d 3.686, intensity 35; 2θ = 26.62°, d 3.348, intensity 15; 2θ = 36.25°, d 2.478, intensity 100; 2θ = 38.01°, d 2.368, intensity 54; 2θ = 45.33°, d 2.001, intensity 49; 2θ = 45.54°, d 1.992, intensity 34; 2θ = 54.84°, d 1.674, intensity 14; 2θ = 60.59°, d 1.528, intensity 32; 2θ = 61.97°, d 1.497, intensity 14; 2θ = 73.96°, d 1.282, intensity 19

Cell and atoms:
Cell: 6.697 6.697 4.415 Å, 90.00 90.00 90.00°
Positions (direct):
Ta1 0.000 0.000 0.000
Ta2 0.000 0.500 0.250
Ta3 0.500 0.000 0.750
Ta4 0.500 0.500 0.500
Cu1 0.166 0.250 0.625
Cu2 0.250 0.666 0.875
Cu3 0.250 0.834 0.375
Cu4 0.334 0.250 0.125
Cu5 0.666 0.750 0.125
Cu6 0.750 0.166 0.375
Cu7 0.750 0.334 0.875
Cu8 0.834 0.750 0.625
C1 0.000 0.000 0.500
C2 0.000 0.500 0.750
C3 0.500 0.000 0.250
C4 0.500 0.500 0.000



No. 9
Starting from a structure optimized by DFT (PBE), the PXRD pattern of Ti8CuC4 was calculated for Cu Kα (weighted mean of Kα1 and Kα2).

Principal peaks in the range 2θ = 10–90°, in order of rising 2θ:
2θ = 34.28°, d 2.616, intensity 22; 2θ = 35.55°, d 2.525, intensity 19; 2θ = 36.71°, d 2.448, intensity 57; 2θ = 38.00°, d 2.368, intensity 100; 2θ = 38.75°, d 2.324, intensity 38; 2θ = 39.60°, d 2.276, intensity 90; 2θ = 41.51°, d 2.176, intensity 32; 2θ = 54.57°, d 1.682, intensity 20; 2θ = 59.88°, d 1.545, intensity 18; 2θ = 62.65°, d 1.483, intensity 30

Cell and atoms:
Cell: 7.535 7.535 10.102 Å, 130.34 130.34 23.66°
Positions (direct):
Ti1 0.000 0.000 0.000
Ti2 0.024 0.024 0.740
Ti3 0.062 0.062 0.470
Ti4 0.321 0.321 0.676
Ti5 0.405 0.405 0.137
Ti6 0.664 0.664 0.343
Ti7 0.703 0.703 0.073
Ti8 0.726 0.726 0.813
Cu1 0.363 0.363 0.407
C1 0.033 0.033 0.237
C2 0.215 0.215 0.943
C3 0.512 0.512 0.870
C4 0.693 0.693 0.576



No. 10
Starting from a structure optimized by DFT (PBE), the PXRD pattern of Ti3Cu3C was calculated for Cu Kα (weighted mean of Kα1 and Kα2).

Principal peaks in the range 2θ = 10–90°, in order of rising 2θ:
2θ = 13.56°, d 6.529, intensity 25; 2θ = 39.02°, d 2.308, intensity 24; 2θ = 41.50°, d 2.176, intensity 100; 2θ = 45.37°, d 1.999, intensity 31; 2θ = 48.29°, d 1.885, intensity 15; 2θ = 53.77°, d 1.705, intensity 8; 2θ = 70.69°, d 1.333, intensity 24; 2θ = 72.37°, d 1.306, intensity 7; 2θ = 77.34°, d 1.234, intensity 7; 2θ = 85.43°, d 1.136, intensity 17

Cell and atoms:
Cell: 7.996 7.996 7.996 Å, 60.00 60.00 60.00°
Positions (direct):
Ti1 0.065 0.065 0.685
Ti2 0.065 0.685 0.065
Ti3 0.065 0.685 0.685
Ti4 0.315 0.315 0.935
Ti5 0.315 0.935 0.315
Ti6 0.315 0.935 0.935
Ti7 0.685 0.065 0.065
Ti8 0.685 0.065 0.685
Ti9 0.685 0.685 0.065
Ti10 0.935 0.315 0.315
Ti11 0.935 0.315 0.935
Ti12 0.935 0.935 0.315
Cu1 0.000 0.500 0.500
Cu2 0.292 0.292 0.292
Cu3 0.292 0.292 0.625
Cu4 0.292 0.625 0.292
Cu5 0.375 0.708 0.708
Cu6 0.500 0.000 0.500
Cu7 0.500 0.500 0.000
Cu8 0.500 0.500 0.500
Cu9 0.625 0.292 0.292
Cu10 0.708 0.375 0.708
Cu11 0.708 0.708 0.375
Cu12 0.708 0.708 0.708
C1 0.000 0.000 0.000
C2 0.000 0.000 0.500
C3 0.000 0.500 0.000
C4 0.500 0.000 0.000



No. 11
Starting from a structure optimized by DFT (PBE), the PXRD pattern of YCuC was calculated for Cu Kα (weighted mean of Kα1 and Kα2).

Principal peaks in the range 2θ = 10–90°, in order of rising 2θ:
2θ = 14.88°, d 5.954, intensity 31; 2θ = 27.97°, d 3.190, intensity 30; 2θ = 30.04°, d 2.975, intensity 74; 2θ = 32.44°, d 2.760, intensity 100; 2θ = 33.73°, d 2.657, intensity 34; 2θ = 34.13°, d 2.627, intensity 63; 2θ = 35.92°, d 2.500, intensity 61; 2θ = 38.65°, d 2.330, intensity 42; 2θ = 42.30°, d 2.137, intensity 53; 2θ = 46.11°, d 1.969, intensity 43

Cell and atoms:
Cell: 3.814 4.447 6.192 Å, 94.58 103.64 103.81°
Positions (direct):
Y1 0.000 0.000 0.000
Y2 0.329 0.435 0.599
Cu1 0.576 0.969 0.354
Cu2 0.691 0.469 0.176
C1 0.014 0.871 0.623
C2 0.062 0.853 0.406



No. 12
Starting from a structure optimized by DFT (PBE), the PXRD pattern of ZrCuC was calculated for Cu Kα (weighted mean of Kα1 and Kα2).

Principal peaks in the range 2θ = 10–90°, in order of rising 2θ:
2θ = 29.35°, d 3.043, intensity 40; 2θ = 30.43°, d 2.938, intensity 90; 2θ = 38.86°, d 2.317, intensity 100; 2θ = 41.35°, d 2.183, intensity 50; 2θ = 45.70°, d 1.985, intensity 43; 2θ = 46.44°, d 1.955, intensity 59; 2θ = 48.73°, d 1.869, intensity 19; 2θ = 63.31°, d 1.469, intensity 31; 2θ = 65.78°, d 1.420, intensity 19; 2θ = 74.63°, d 1.272, intensity 20

Cell and atoms:
Cell: 4.367 4.538 8.203 Å, 90.00 90.00 90.00°
Positions (direct):
Zr1 0.250 0.250 0.065
Zr2 0.250 0.750 0.425
Zr3 0.750 0.250 0.575
Zr4 0.750 0.750 0.935
Cu1 0.250 0.501 0.745
Cu2 0.250 0.999 0.745
Cu3 0.750 0.001 0.255
Cu4 0.750 0.499 0.255
C1 0.250 0.250 0.353
C2 0.250 0.750 0.971
C3 0.750 0.250 0.029
C4 0.750 0.750 0.647